# 1
Calculated X-ray powder pattern of CaMn2S5 for Cu Kα (λ = 1.5418 Å), from a DFT-relaxed cell (GGA-PBE, the Materials Project).
Kinematic intensities with the Lorentz-polarization factor, no thermal factor.

Cell and atoms:
```
data_CaMn2S5
_cell_length_a 4.2520
_cell_length_b 13.7440
_cell_length_c 6.2701
_cell_angle_alpha 90.00
_cell_angle_beta 90.00
_cell_angle_gamma 90.00
_space_group_name_H-M_alt 'P m m n'
_space_group_IT_number 59
loop_
_space_group_symop_operation_xyz
'x,y,z'
'-x,-y,-z'
'-x+1/2,-y+1/2,z'
'x+1/2,y+1/2,-z'
'x+1/2,-y,-z'
'-x+1/2,y,z'
'-x,y+1/2,-z'
'x,-y+1/2,z'
loop_
_atom_site_label
_atom_site_type_symbol
_atom_site_fract_x
_atom_site_fract_y
_atom_site_fract_z
Ca1 Ca 0.2500 0.2500 0.1330
Mn1 Mn 0.2500 0.5968 0.4117
S1 S 0.2500 0.0734 0.4313
S2 S 0.2500 0.6490 0.0867
S3 S 0.2500 0.7500 0.5612
```

Most intense lines, 10 to 90 degrees two-theta, by angle:
two_theta, I_rel, index
14.12, 100, 0 0 1
19.16, 68, 0 2 1
21.88, 44, 1 1 0
24.06, 38, 0 3 1
25.31, 93, 1 0 1
37.99, 65, 1 2 2
42.52, 53, 2 0 0
48.54, 38, 1 0 3

# 2
Calculated X-ray powder pattern of CaMn4S8 for Cu Kα (λ = 1.5418 Å), from a DFT-relaxed cell (GGA-PBE, the Materials Project).
Kinematic intensities with the Lorentz-polarization factor, no thermal factor.

Cell and atoms:
```
data_CaMn4S8
_cell_length_a 7.0799
_cell_length_b 7.0799
_cell_length_c 16.9913
_cell_angle_alpha 90.00
_cell_angle_beta 90.00
_cell_angle_gamma 120.00
_space_group_name_H-M_alt 'R -3 m'
_space_group_IT_number 166
_space_group_name_Hall '-R 3 2"'
loop_
_atom_site_label
_atom_site_type_symbol
_atom_site_fract_x
_atom_site_fract_y
_atom_site_fract_z
Ca1 Ca 0.0000 0.0000 0.0000
Mn1 Mn 0.0000 0.0000 0.5000
Mn2 Mn 0.0000 0.5000 0.0000
S1 S 0.0000 0.0000 0.2608
S2 S 0.0377 0.5189 0.2510
```

Most intense lines, 10 to 90 degrees two-theta, by angle:
two_theta, I_rel, index
15.36, 38, 1 0 1
15.65, 32, 0 0 3
29.61, 14, 0 2 1
36.13, 100, 0 2 4
51.64, 30, 2 2 0
52.41, 30, 2 0 8
64.64, 14, 4 0 4
88.41, 11, 2 2 12

# 3
Calculated X-ray powder pattern of CaMn4S8 for Cu Kα (λ = 1.5418 Å), from a DFT-relaxed cell (GGA-PBE, the Materials Project).
Kinematic intensities with the Lorentz-polarization factor, no thermal factor.

Cell and atoms:
```
data_CaMn4S8
_cell_length_a 6.7102
_cell_length_b 6.7102
_cell_length_c 20.0956
_cell_angle_alpha 90.00
_cell_angle_beta 90.00
_cell_angle_gamma 120.00
_space_group_name_H-M_alt 'R -3 m'
_space_group_IT_number 166
_space_group_name_Hall '-R 3 2"'
loop_
_atom_site_label
_atom_site_type_symbol
_atom_site_fract_x
_atom_site_fract_y
_atom_site_fract_z
Ca1 Ca 0.0000 0.0000 0.0000
Mn1 Mn 0.0000 0.0000 0.5000
Mn2 Mn 0.0000 0.5000 0.5000
S1 S 0.0000 0.0000 0.2319
S2 S 0.0022 0.5011 0.2316
```

Most intense lines, 10 to 90 degrees two-theta, by angle:
two_theta, I_rel, index
13.22, 100, 0 0 3
31.10, 11, 0 2 1
35.70, 81, 0 2 4
44.36, 23, 0 2 7
47.87, 24, 2 0 8
54.72, 24, 2 2 0
56.55, 11, 2 2 3
59.80, 12, 2 0 11

# 4
Calculated X-ray powder pattern of CaMnS2 for Cu Kα (λ = 1.5418 Å), from a DFT-relaxed cell (GGA-PBE, the Materials Project).
Kinematic intensities with the Lorentz-polarization factor, no thermal factor.

Cell and atoms:
```
data_CaMnS2
_cell_length_a 3.8675
_cell_length_b 3.8675
_cell_length_c 18.6557
_cell_angle_alpha 90.00
_cell_angle_beta 90.00
_cell_angle_gamma 120.00
_space_group_name_H-M_alt 'R -3 m'
_space_group_IT_number 166
_space_group_name_Hall '-R 3 2"'
loop_
_atom_site_label
_atom_site_type_symbol
_atom_site_fract_x
_atom_site_fract_y
_atom_site_fract_z
Ca1 Ca 0.0000 0.0000 0.0000
Mn1 Mn 0.0000 0.0000 0.5000
S1 S 0.0000 0.0000 0.2419
```

Most intense lines, 10 to 90 degrees two-theta, by angle:
two_theta, I_rel, index
32.92, 100, 1 0 4
46.99, 34, 1 1 0
47.51, 31, 0 1 8
58.57, 16, 0 2 4
69.05, 9, 2 0 8
78.25, 13, 2 1 4
79.03, 11, 1 1 12
87.72, 10, 1 2 8

# 5
Calculated X-ray powder pattern of CaMnSb2 for Cu Kα (λ = 1.5418 Å), from a DFT-relaxed cell (GGA-PBE, the Materials Project).
Kinematic intensities with the Lorentz-polarization factor, no thermal factor.

Cell and atoms:
```
data_CaMnSb2
_cell_length_a 21.0759
_cell_length_b 4.3769
_cell_length_c 4.3832
_cell_angle_alpha 90.00
_cell_angle_beta 90.00
_cell_angle_gamma 90.00
_space_group_name_H-M_alt 'P n m a'
_space_group_IT_number 62
_space_group_name_Hall '-P 2ac 2n'
loop_
_atom_site_label
_atom_site_type_symbol
_atom_site_fract_x
_atom_site_fract_y
_atom_site_fract_z
Ca1 Ca 0.1201 0.2500 0.2359
Mn1 Mn 0.2501 0.2500 0.7350
Sb1 Sb 0.0007 0.2500 0.7335
Sb2 Sb 0.1749 0.7500 0.7352
```

Most intense lines, 10 to 90 degrees two-theta, by angle:
two_theta, I_rel, index
16.83, 20, 4 0 0
25.36, 23, 6 0 0
26.46, 41, 4 1 0
30.07, 36, 2 1 1
33.56, 100, 4 1 1
41.22, 49, 0 2 0
45.18, 36, 8 1 1
70.27, 20, 4 3 1

# 6
Calculated X-ray powder pattern of CaMn2Sb2 for Cu Kα (λ = 1.5418 Å), from a DFT-relaxed cell (GGA-PBE, the Materials Project).
Kinematic intensities with the Lorentz-polarization factor, no thermal factor.

Cell and atoms:
```
data_CaMn2Sb2
_cell_length_a 4.4753
_cell_length_b 4.4753
_cell_length_c 7.4403
_cell_angle_alpha 90.00
_cell_angle_beta 90.00
_cell_angle_gamma 120.00
_space_group_name_H-M_alt 'P -3 m 1'
_space_group_IT_number 164
_space_group_name_Hall '-P 3 2"'
loop_
_atom_site_label
_atom_site_type_symbol
_atom_site_fract_x
_atom_site_fract_y
_atom_site_fract_z
Ca1 Ca 0.0000 0.0000 0.0000
Mn1 Mn 0.3333 0.6667 0.3862
Sb1 Sb 0.3333 0.6667 0.7426
```

Most intense lines, 10 to 90 degrees two-theta, by angle:
two_theta, I_rel, index
22.95, 42, 1 0 0
23.92, 23, 0 0 2
25.92, 100, 1 0 1
33.39, 53, 1 0 2
40.31, 82, 1 1 0
43.31, 70, 1 0 3
60.64, 25, 0 2 3
75.35, 26, 2 1 3

# 7
Calculated X-ray powder pattern of CaMn2Sb2 for Cu Kα (λ = 1.5418 Å), from a DFT-relaxed cell (GGA-PBE, the Materials Project).
Kinematic intensities with the Lorentz-polarization factor, no thermal factor.

Cell and atoms:
```
data_CaMn2Sb2
_cell_length_a 7.6964
_cell_length_b 4.4936
_cell_length_c 7.4775
_cell_angle_alpha 90.00
_cell_angle_beta 90.94
_cell_angle_gamma 90.00
_space_group_name_H-M_alt 'C 1 2/m 1'
_space_group_IT_number 12
_space_group_name_Hall '-C 2y'
loop_
_atom_site_label
_atom_site_type_symbol
_atom_site_fract_x
_atom_site_fract_y
_atom_site_fract_z
Ca1 Ca 0.0000 0.0000 0.0000
Mn1 Mn 0.1768 0.5000 0.3808
Sb1 Sb 0.1629 0.5000 0.7425
```

Most intense lines, 10 to 90 degrees two-theta, by angle:
two_theta, I_rel, index
22.92, 46, 1 1 0
23.80, 43, 0 0 2
25.78, 100, 1 1 -1
26.22, 60, 2 0 1
33.14, 64, 1 1 -2
40.13, 47, 0 2 0
40.49, 90, 3 1 0
42.95, 58, 1 1 -3

Question: Number 2 is which compound?
Answer: CaMn4S8